For MgCo3NiO8, the GGA+U geometry in the Materials Project gives the calculated powder XRD pattern in this record (Cu Kα (λ = 1.5418 Å)).

Largest 6 diffraction maxima, in order of falling intensity, 2θ from 10° to 80°:
- 17.9°, 4.957 Å, I = 100, (0 0 1)
- 43.7°, 2.070 Å, I = 20, (0 2 -2)
- 37.2°, 2.419 Å, I = 20, (-2 2 1)
- 44.2°, 2.050 Å, I = 20, (2 0 0)
- 44.4°, 2.039 Å, I = 19, (-2 2 2)
- 65.4°, 1.428 Å, I = 10, (2 2 -2)

```
data_MgCo3NiO8
_cell_length_a 5.640
_cell_length_b 5.710
_cell_length_c 5.932
_cell_angle_alpha 90.82
_cell_angle_beta 118.07
_cell_angle_gamma 119.55
_space_group_name_H-M_alt 'P -1'
_space_group_IT_number 2
loop_
_space_group_symop_operation_xyz
'x,y,z'
'-x,-y,-z'
loop_
_atom_site_label
_atom_site_type_symbol
_atom_site_fract_x
_atom_site_fract_y
_atom_site_fract_z
Mg1 Mg 0.000 0.000 0.000
Co1 Co 0.000 0.500 0.500
Co2 Co 0.500 0.000 0.500
Co3 Co 0.500 0.500 0.500
Ni1 Ni 0.000 0.000 0.500
O1 O 0.032 0.249 0.293
O2 O 0.037 0.784 0.291
O3 O 0.459 0.229 0.690
O4 O 0.486 0.750 0.707
```